Record 1
Diffraction record for Nd4S3Br6. The powder diffractogram is calculated, not measured: it uses a GGA-PBE-relaxed structure and Cu Kα (λ = 1.5418 Å).

Atomic structure:
a b c (Å): 15.2810 15.2810 7.2133
angles (deg): 94.64 94.64 26.23
Fractional positions:
Nd (0.0221, 0.6366, 0.9058)
Nd (0.1341, 0.7524, 0.5147)
Nd (0.2476, 0.8659, 0.9853)
Nd (0.3634, 0.9779, 0.5942)
Nd (0.6366, 0.0221, 0.4058)
Nd (0.7524, 0.1341, 0.0147)
Nd (0.8659, 0.2476, 0.4853)
Nd (0.9779, 0.3634, 0.0942)
S (0.0508, 0.9492, 0.2500)
S (0.0658, 0.1664, 0.7913)
S (0.1664, 0.0658, 0.2913)
S (0.8336, 0.9342, 0.7087)
S (0.9342, 0.8336, 0.2087)
S (0.9492, 0.0508, 0.7500)
Br (0.1538, 0.3153, 0.8171)
Br (0.2524, 0.4368, 0.5556)
Br (0.3153, 0.1538, 0.3171)
Br (0.3420, 0.5554, 0.8892)
Br (0.4368, 0.2524, 0.0556)
Br (0.4446, 0.6580, 0.6108)
Br (0.5554, 0.3420, 0.3892)
Br (0.5632, 0.7476, 0.9444)
Br (0.6580, 0.4446, 0.1108)
Br (0.6847, 0.8462, 0.6829)
Br (0.7476, 0.5632, 0.4444)
Br (0.8462, 0.6847, 0.1829)

The 10 most intense peaks (5 to 70 degrees two-theta), in order of rising 2θ:
4.876 Å, I 42; 4.356 Å, I 67; 3.932 Å, I 44; 3.710 Å, I 43; 2.966 Å, I 51; 2.916 Å, I 41; 2.842 Å, I 100; 2.683 Å, I 63; 2.481 Å, I 54; 2.386 Å, I 45


Record 2
Diffraction record for Be2RePt. The powder diffractogram is calculated, not measured: it uses a GGA-PBE-relaxed structure and Cu Kα (λ = 1.5418 Å).

Atomic structure:
a b c (Å): 8.7954 2.6474 4.2622
angles (deg): 90.00 107.41 90.00
Fractional positions:
Be (0.0000, 0.0000, 0.0000)
Be (0.2244, 0.5000, 0.3389)
Be (0.5000, 0.5000, 0.0000)
Be (0.7244, 0.0000, 0.3389)
Re (0.4792, 0.0000, 0.4721)
Re (0.9792, 0.5000, 0.4721)
Pt (0.2471, 0.0000, 0.8666)
Pt (0.7471, 0.5000, 0.8666)

The 10 most intense peaks (5 to 70 degrees two-theta), in order of rising 2θ:
4.067 Å, I 18; 3.488 Å, I 100; 2.562 Å, I 53; 2.525 Å, I 60; 2.098 Å, I 34; 2.092 Å, I 17; 2.063 Å, I 52; 2.033 Å, I 20; 1.896 Å, I 48; 1.658 Å, I 30


Please write out number 2 again, unchanged.
Diffraction record for Be2RePt. The powder diffractogram is calculated, not measured: it uses a GGA-PBE-relaxed structure and Cu Kα (λ = 1.5418 Å).

Atomic structure:
a b c (Å): 8.7954 2.6474 4.2622
angles (deg): 90.00 107.41 90.00
Fractional positions:
Be (0.0000, 0.0000, 0.0000)
Be (0.2244, 0.5000, 0.3389)
Be (0.5000, 0.5000, 0.0000)
Be (0.7244, 0.0000, 0.3389)
Re (0.4792, 0.0000, 0.4721)
Re (0.9792, 0.5000, 0.4721)
Pt (0.2471, 0.0000, 0.8666)
Pt (0.7471, 0.5000, 0.8666)

The 10 most intense peaks (5 to 70 degrees two-theta), in order of rising 2θ:
4.067 Å, I 18; 3.488 Å, I 100; 2.562 Å, I 53; 2.525 Å, I 60; 2.098 Å, I 34; 2.092 Å, I 17; 2.063 Å, I 52; 2.033 Å, I 20; 1.896 Å, I 48; 1.658 Å, I 30


Copy entry 2 word for word.
Diffraction record for Be2RePt. The powder diffractogram is calculated, not measured: it uses a GGA-PBE-relaxed structure and Cu Kα (λ = 1.5418 Å).

Atomic structure:
a b c (Å): 8.7954 2.6474 4.2622
angles (deg): 90.00 107.41 90.00
Fractional positions:
Be (0.0000, 0.0000, 0.0000)
Be (0.2244, 0.5000, 0.3389)
Be (0.5000, 0.5000, 0.0000)
Be (0.7244, 0.0000, 0.3389)
Re (0.4792, 0.0000, 0.4721)
Re (0.9792, 0.5000, 0.4721)
Pt (0.2471, 0.0000, 0.8666)
Pt (0.7471, 0.5000, 0.8666)

The 10 most intense peaks (5 to 70 degrees two-theta), in order of rising 2θ:
4.067 Å, I 18; 3.488 Å, I 100; 2.562 Å, I 53; 2.525 Å, I 60; 2.098 Å, I 34; 2.092 Å, I 17; 2.063 Å, I 52; 2.033 Å, I 20; 1.896 Å, I 48; 1.658 Å, I 30